The following is a theoretical XRD peak list of TcP4H36C12Br2. It was derived from a GGA-PBE-relaxed structure, using Cu Kα.

Main lines, by angle (2θ from 10° to 80°):
| 2θ (°) | intensity |
| --- | --- |
| 11.3 | 100 |
| 12.7 | 49 |
| 25.5 | 20 |
| 28.5 | 16 |
| 31.0 | 10 |
| 33.4 | 16 |
| 36.6 | 11 |
| 41.0 | 12 |

```
55
Lattice="-4.944 4.944 6.342 4.944 -4.944 6.342 4.944 4.944 -6.342" Properties=species:S:1:pos:R:3 pbc="T T T"
Tc 0.000 0.000 0.000
P 1.702 1.702 -0.357
P 3.242 -3.242 6.700
P 3.242 3.242 5.985
P -3.242 3.242 6.700
H 3.770 -0.454 0.872
H 6.882 1.757 -1.703
H 3.799 2.097 -1.576
H 5.753 -2.145 4.021
H 2.799 -0.808 2.321
H 6.119 0.454 0.872
H 3.188 -1.938 4.639
H 2.097 3.799 -1.576
H 7.090 0.808 2.321
H 1.687 -1.687 5.584
H 3.007 1.757 1.703
H 5.399 -1.174 5.470
H 6.090 2.097 1.576
H 3.257 3.257 0.758
H 1.757 3.007 1.703
H -0.454 3.770 0.872
H -0.808 2.799 2.321
H 2.847 1.146 4.766
H 2.847 -1.146 7.918
H 4.136 2.145 4.021
H 4.490 1.174 5.470
H 1.757 6.882 -1.703
H -1.687 1.687 5.584
H 1.146 2.847 4.766
H 0.454 6.119 0.872
H -1.938 3.188 4.639
H 1.687 1.687 7.100
H 2.145 4.136 4.021
H 2.097 6.090 1.576
H 3.188 1.938 8.045
H 1.174 4.490 5.470
H -2.145 5.753 4.021
H 0.808 7.090 2.321
H -1.146 2.847 7.918
H 1.938 3.188 8.045
H -1.174 5.399 5.470
C 3.167 1.220 -1.372
C 2.430 -2.430 5.260
C 1.220 3.167 -1.372
C 6.722 1.220 1.372
C 2.514 2.514 1.082
C 3.725 -1.777 7.714
C 3.725 1.777 4.970
C -2.430 2.430 5.260
C 1.777 3.725 4.970
C 1.220 6.722 1.372
C 2.430 2.430 7.424
C -1.777 3.725 7.714
Br 0.000 0.000 2.607
Br 0.000 0.000 10.077
```

The following is a theoretical XRD peak list of KTe2S4. It was derived from a GGA-PBE-relaxed structure, using Cu Kα.

Main lines, by angle (2θ from 10° to 80°):
| 2θ (°) | intensity |
| --- | --- |
| 14.3 | 100 |
| 16.4 | 74 |
| 21.8 | 67 |
| 24.4 | 24 |
| 28.5 | 37 |
| 32.0 | 77 |
| 40.7 | 24 |
| 41.7 | 37 |

```
14
Lattice="3.843 -6.215 0.000 3.843 6.215 0.000 0.000 0.000 10.838" Properties=species:S:1:pos:R:3 pbc="T T T"
K 0.000 0.000 2.709
K 0.000 0.000 8.128
Te 3.798 2.678 0.000
Te 3.888 2.678 5.419
Te 3.798 -2.678 5.419
Te 3.888 -2.678 0.000
S 1.921 3.107 1.687
S 1.921 3.107 9.151
S 1.045 1.482 5.419
S 1.045 -1.482 0.000
S 1.921 -3.107 3.732
S 1.921 -3.107 7.106
S 6.641 1.482 0.000
S 6.641 -1.482 5.419
```

The following is a theoretical XRD peak list of Cs2NaPdCl6. It was derived from a GGA-PBE-relaxed structure, using Cu Kα.

Main lines, by angle (2θ from 10° to 80°):
| 2θ (°) | intensity |
| --- | --- |
| 18.0 | 41 |
| 21.4 | 37 |
| 23.9 | 100 |
| 27.2 | 33 |
| 30.1 | 73 |
| 32.3 | 76 |
| 36.6 | 33 |
| 49.0 | 46 |

```
20
Lattice="3.717 2.146 12.692 -3.717 2.146 12.692 0.000 -4.292 12.692" Properties=species:S:1:pos:R:3 pbc="T T T"
Cs 0.000 0.000 4.745
Cs 0.000 0.000 11.256
Cs 0.000 0.000 26.820
Cs 0.000 0.000 33.332
Na 0.000 0.000 15.689
Na 0.000 0.000 22.388
Pd 0.000 0.000 0.000
Pd 0.000 0.000 19.038
Cl -1.725 -0.996 17.643
Cl 0.000 -2.290 14.128
Cl -1.983 1.145 14.128
Cl -1.983 -1.145 23.949
Cl 0.000 -1.992 20.434
Cl -1.725 0.996 20.434
Cl 1.725 -0.996 17.643
Cl 0.000 1.992 17.643
Cl 1.983 1.145 14.128
Cl 1.983 -1.145 23.949
Cl 0.000 2.290 23.949
Cl 1.725 0.996 20.434
```

The following is a theoretical XRD peak list of Ce3P4Ir2. It was derived from a GGA-PBE-relaxed structure, using Cu Kα.

Main lines, by angle (2θ from 10° to 80°):
| 2θ (°) | intensity |
| --- | --- |
| 18.8 | 18 |
| 33.5 | 100 |
| 34.4 | 60 |
| 43.2 | 25 |
| 44.9 | 22 |
| 45.4 | 42 |
| 56.4 | 29 |
| 64.1 | 19 |

```
9
Lattice="5.281 -2.094 0.000 5.281 2.094 0.000 -1.316 0.000 7.832" Properties=species:S:1:pos:R:3 pbc="T T T"
Ce 0.000 0.000 0.000
Ce 3.096 0.000 2.572
Ce 6.151 0.000 5.259
P 0.080 0.000 3.031
P 1.675 0.000 7.407
P 7.572 0.000 0.425
P 9.167 0.000 4.800
Ir 3.172 0.000 5.593
Ir 6.075 0.000 2.238
```

The following is a theoretical XRD peak list of Sr3Tl2Hg4. It was derived from a GGA-PBE-relaxed structure, using Cu Kα.

Main lines, by angle (2θ from 10° to 80°):
| 2θ (°) | intensity |
| --- | --- |
| 19.8 | 21 |
| 22.7 | 38 |
| 30.3 | 100 |
| 34.7 | 69 |
| 34.8 | 34 |
| 41.8 | 49 |
| 46.8 | 20 |
| 59.1 | 40 |

```
9
Lattice="5.961 -2.580 0.000 5.961 2.580 0.000 -4.171 0.000 8.858" Properties=species:S:1:pos:R:3 pbc="T T T"
Sr 0.000 0.000 0.000
Sr 2.686 0.000 2.903
Sr 5.065 0.000 5.955
Tl 1.550 0.000 6.341
Tl 6.201 0.000 2.517
Hg -0.857 0.000 3.580
Hg -0.581 0.000 8.443
Hg 8.331 0.000 0.415
Hg 8.608 0.000 5.278
```

The following is a theoretical XRD peak list of LiTePO5. It was derived from a GGA-PBE-relaxed structure, using Cu Kα.

Main lines, by angle (2θ from 10° to 80°):
| 2θ (°) | intensity |
| --- | --- |
| 17.8 | 53 |
| 23.2 | 100 |
| 23.7 | 18 |
| 24.4 | 20 |
| 26.2 | 40 |
| 34.3 | 19 |
| 35.2 | 29 |
| 47.4 | 16 |

```
32
Lattice="9.021 0.000 0.000 0.000 6.810 0.000 0.000 0.000 7.290" Properties=species:S:1:pos:R:3 pbc="T T T"
Li 0.000 0.000 0.000
Li 0.000 3.405 0.000
Li 4.510 0.000 3.645
Li 4.510 3.405 3.645
Te 1.279 1.703 2.046
Te 3.231 5.108 5.691
Te 5.790 1.703 1.598
Te 7.741 5.108 5.243
P 1.118 5.108 2.683
P 3.392 1.703 6.327
P 5.629 5.108 0.962
P 7.903 1.703 4.607
O 0.252 1.703 3.859
O 0.262 5.108 6.265
O 1.144 3.871 1.731
O 1.144 6.344 1.731
O 2.173 1.703 7.260
O 2.338 5.108 3.615
O 3.366 0.466 5.376
O 3.366 2.939 5.376
O 4.249 1.703 2.621
O 4.259 5.108 0.214
O 4.762 1.703 7.076
O 4.772 5.108 4.669
O 5.655 3.871 1.914
O 5.655 6.344 1.914
O 6.683 1.703 3.675
O 6.848 5.108 0.030
O 7.877 0.466 5.559
O 7.877 2.939 5.559
O 8.759 1.703 1.024
O 8.769 5.108 3.431
```

The following is a theoretical XRD peak list of DyNbSb. It was derived from a GGA-PBE-relaxed structure, using Cu Kα.

Main lines, by angle (2θ from 10° to 80°):
| 2θ (°) | intensity |
| --- | --- |
| 30.1 | 41 |
| 32.2 | 75 |
| 33.7 | 34 |
| 35.3 | 46 |
| 37.8 | 100 |
| 43.1 | 64 |
| 55.8 | 32 |
| 75.4 | 26 |

```
6
Lattice="-2.101 2.101 7.970 2.101 -2.101 7.970 2.101 2.101 -7.970" Properties=species:S:1:pos:R:3 pbc="T T T"
Dy 0.000 0.000 2.736
Dy 0.000 0.000 13.204
Nb 2.101 0.000 0.000
Nb 0.000 2.101 0.000
Sb 0.000 0.000 5.894
Sb 0.000 0.000 10.047
```

The following is a theoretical XRD peak list of Ac3PrPb6. It was derived from a GGA-PBE-relaxed structure, using Cu Kα.

Main lines, by angle (2θ from 10° to 80°):
| 2θ (°) | intensity |
| --- | --- |
| 27.4 | 24 |
| 28.4 | 100 |
| 30.5 | 50 |
| 30.7 | 92 |
| 39.0 | 28 |
| 40.8 | 31 |
| 53.2 | 18 |
| 65.7 | 19 |

```
20
Lattice="6.715 3.877 4.523 -6.715 3.877 4.523 0.000 -7.754 4.523" Properties=species:S:1:pos:R:3 pbc="T T T"
Ac -3.835 1.110 5.654
Ac -2.879 -2.766 7.915
Ac 0.956 -3.877 5.654
Ac -0.956 3.877 7.915
Ac 2.879 2.766 5.654
Ac 3.835 -1.110 7.915
Pr 0.000 0.000 0.000
Pr 0.000 0.000 6.784
Pb -0.549 -2.439 2.057
Pb -1.838 1.695 2.057
Pb -1.838 -1.695 4.727
Pb 2.387 0.744 2.057
Pb -0.549 2.439 4.727
Pb 2.387 -0.744 4.727
Pb -2.387 0.744 8.841
Pb 0.549 -2.439 8.841
Pb -2.387 -0.744 11.511
Pb 1.838 1.695 8.841
Pb 1.838 -1.695 11.511
Pb 0.549 2.439 11.511
```

The following is a theoretical XRD peak list of PmTm2Pd. It was derived from a GGA-PBE-relaxed structure, using Cu Kα.

Main lines, by angle (2θ from 10° to 80°):
| 2θ (°) | intensity |
| --- | --- |
| 30.3 | 84 |
| 31.2 | 87 |
| 31.5 | 77 |
| 31.8 | 100 |
| 33.7 | 52 |
| 34.4 | 70 |
| 35.8 | 55 |
| 37.9 | 48 |

```
16
Lattice="7.060 0.000 0.000 0.000 9.604 0.000 0.000 0.000 6.481" Properties=species:S:1:pos:R:3 pbc="T T T"
Pm 0.106 2.401 0.855
Pm 3.423 7.203 4.096
Pm 3.636 2.401 2.386
Pm 6.953 7.203 5.626
Tm 1.260 0.578 4.364
Tm 1.260 4.224 4.364
Tm 2.270 5.380 1.123
Tm 2.270 9.026 1.123
Tm 4.789 0.578 5.358
Tm 4.789 4.224 5.358
Tm 5.800 5.380 2.118
Tm 5.800 9.026 2.118
Pd 0.792 7.203 2.761
Pd 2.738 2.401 6.002
Pd 4.322 7.203 0.479
Pd 6.268 2.401 3.720
```

The following is a theoretical XRD peak list of PaFe2Si2Os. It was derived from a GGA-PBE-relaxed structure, using Cu Kα.

Main lines, by angle (2θ from 10° to 80°):
| 2θ (°) | intensity |
| --- | --- |
| 19.2 | 86 |
| 27.3 | 100 |
| 39.0 | 60 |
| 40.2 | 90 |
| 43.9 | 22 |
| 56.4 | 21 |
| 57.3 | 64 |
| 63.8 | 19 |

```
6
Lattice="4.615 0.000 0.000 0.000 4.615 0.000 0.000 0.000 5.132" Properties=species:S:1:pos:R:3 pbc="T T T"
Pa 0.000 0.000 0.000
Fe 2.307 2.307 1.346
Fe 2.307 2.307 3.786
Si 0.000 2.307 2.566
Si 2.307 0.000 2.566
Os 0.000 0.000 2.566
```

The following is a theoretical XRD peak list of KNaFeBr4. It was derived from a GGA-PBE-relaxed structure, using Cu Kα.

Main lines, by angle (2θ from 10° to 80°):
| 2θ (°) | intensity |
| --- | --- |
| 27.0 | 100 |
| 27.8 | 27 |
| 28.3 | 31 |
| 30.3 | 44 |
| 30.7 | 39 |
| 31.7 | 28 |
| 31.9 | 26 |
| 40.7 | 34 |

```
14
Lattice="7.175 0.000 0.000 0.000 7.551 0.000 -2.610 0.000 8.472" Properties=species:S:1:pos:R:3 pbc="T T T"
K 1.568 1.888 0.493
K 2.996 5.663 7.979
Na 0.143 1.888 4.696
Na 4.422 5.663 3.776
Fe 0.853 5.663 2.719
Fe 3.712 1.888 5.754
Br -0.676 3.789 2.296
Br -0.676 7.537 2.296
Br 2.731 5.663 1.177
Br 1.689 5.663 4.982
Br 2.876 1.888 3.491
Br 1.834 1.888 7.296
Br 5.240 0.013 6.177
Br 5.240 3.762 6.177
```

Please write out number 6 again, unchanged.
The following is a theoretical XRD peak list of LiTePO5. It was derived from a GGA-PBE-relaxed structure, using Cu Kα.

Main lines, by angle (2θ from 10° to 80°):
| 2θ (°) | intensity |
| --- | --- |
| 17.8 | 53 |
| 23.2 | 100 |
| 23.7 | 18 |
| 24.4 | 20 |
| 26.2 | 40 |
| 34.3 | 19 |
| 35.2 | 29 |
| 47.4 | 16 |

```
32
Lattice="9.021 0.000 0.000 0.000 6.810 0.000 0.000 0.000 7.290" Properties=species:S:1:pos:R:3 pbc="T T T"
Li 0.000 0.000 0.000
Li 0.000 3.405 0.000
Li 4.510 0.000 3.645
Li 4.510 3.405 3.645
Te 1.279 1.703 2.046
Te 3.231 5.108 5.691
Te 5.790 1.703 1.598
Te 7.741 5.108 5.243
P 1.118 5.108 2.683
P 3.392 1.703 6.327
P 5.629 5.108 0.962
P 7.903 1.703 4.607
O 0.252 1.703 3.859
O 0.262 5.108 6.265
O 1.144 3.871 1.731
O 1.144 6.344 1.731
O 2.173 1.703 7.260
O 2.338 5.108 3.615
O 3.366 0.466 5.376
O 3.366 2.939 5.376
O 4.249 1.703 2.621
O 4.259 5.108 0.214
O 4.762 1.703 7.076
O 4.772 5.108 4.669
O 5.655 3.871 1.914
O 5.655 6.344 1.914
O 6.683 1.703 3.675
O 6.848 5.108 0.030
O 7.877 0.466 5.559
O 7.877 2.939 5.559
O 8.759 1.703 1.024
O 8.769 5.108 3.431
```